This entry pairs a crystal structure of RbLiReN2 with its theoretical powder X-ray diffraction pattern. Radiation: λ = 1.5418 Å (Cu Kα). Structure: a cell relaxed with GGA-PBE.

Crystal structure
```
10
Lattice="2.713 -6.336 0.000 2.713 6.336 0.000 0.000 0.000 5.133" Properties=species:S:1:pos:R:3 pbc="T T T"
Rb 2.713 3.168 3.890
Rb 2.713 -3.168 1.242
Li 0.000 0.000 0.000
Li 2.713 0.000 0.000
Re 1.357 0.000 2.566
Re 4.070 0.000 2.566
N 2.713 5.236 1.629
N 2.713 1.099 1.629
N 2.713 -1.099 3.504
N 2.713 -5.236 3.504
```

Most intense lines, 2θ from 10° to 80°, sorted by position:
2θ (°)  intensity
13.98  55
17.28  89
22.29  100
28.17  53
32.02  29
33.23  29
36.01  53
37.82  52
40.20  40
47.55  30

=====

This entry pairs a crystal structure of Li5Re2N6 with its theoretical powder X-ray diffraction pattern. Radiation: λ = 1.5418 Å (Cu Kα). Structure: a cell relaxed with GGA-PBE.

Crystal structure
```
26
Lattice="4.384 -3.450 0.000 4.384 3.450 0.000 -3.520 0.000 11.644" Properties=species:S:1:pos:R:3 pbc="T T T"
Li 1.744 3.267 8.733
Li 3.895 2.339 0.587
Li 3.114 2.339 5.234
Li 2.171 0.797 3.141
Li 0.411 -0.797 8.963
Li 4.837 0.797 2.681
Li 3.078 -0.797 8.502
Li 2.135 -2.339 6.409
Li 1.354 -2.339 11.056
Li 3.504 -3.267 2.911
Re 0.472 0.797 6.840
Re 2.232 -0.797 1.019
Re 3.017 0.797 10.625
Re 4.777 -0.797 4.803
N 3.945 -2.580 5.105
N 1.303 2.580 6.539
N -0.792 0.725 8.107
N 2.186 2.580 10.926
N 0.968 -0.725 2.285
N 3.307 0.574 1.294
N 3.702 0.574 4.528
N 1.547 -0.574 7.115
N 1.942 -0.574 10.350
N 4.281 0.725 9.358
N 3.063 -2.580 0.717
N 6.041 -0.725 3.537
```

Most intense lines, 2θ from 10° to 80°, sorted by position:
2θ (°)  intensity
15.22  32
16.98  100
19.55  55
20.42  62
21.17  56
22.24  49
24.63  61
34.79  34
35.92  27
37.25  27

=====

This entry pairs a crystal structure of LiReN2 with its theoretical powder X-ray diffraction pattern. Radiation: λ = 1.5418 Å (Cu Kα). Structure: a cell relaxed with GGA-PBE.

Crystal structure
```
16
Lattice="5.607 0.000 0.000 0.000 6.551 0.000 0.000 0.000 5.556" Properties=species:S:1:pos:R:3 pbc="T T T"
Li 0.493 0.807 0.000
Li 2.310 4.083 2.778
Li 3.297 2.468 0.000
Li 5.114 5.743 2.778
Re 0.372 4.139 0.047
Re 2.432 0.864 2.824
Re 3.175 5.687 0.047
Re 5.235 2.412 2.824
N 0.295 3.937 1.926
N 0.593 0.906 2.203
N 2.211 4.181 4.981
N 2.508 0.662 4.703
N 3.099 5.889 1.926
N 3.396 2.370 2.203
N 5.014 5.645 4.981
N 5.311 2.614 4.703
```

Most intense lines, 2θ from 10° to 80°, sorted by position:
2θ (°)  intensity
20.85  72
20.97  100
31.92  19
32.22  33
35.62  72
35.88  23
38.51  18
38.70  25
44.55  21
59.68  23